# 1
Diffraction record for Mg2V4O9. The powder diffractogram is theoretical, not measured: it uses a structure optimized by DFT (GGA+U) and Cu Kα (weighted mean of Kα1 and Kα2).
Peak positions follow from Bragg's law for the DFT cell and can differ from measured ones.

Peak list (8 most intense, 10° ≤ 2θ ≤ 90°, in order of falling intensity)
Position (°2θ)  intensity
32.5  100.0
34.9  71.9
24.0  49.3
32.7  47.7
63.5  40.5
49.1  39.7
53.4  38.1
53.3  36.2

Cell and atoms:
abc: 5.1422 5.1422 14.0453
angles: 90.81 90.81 58.75
Sites, in units of the cell vectors:
Mg  0.0041  0.9955  0.6506
Mg  0.0045  0.9959  0.8494
Mg  0.9955  0.0041  0.1506
Mg  0.9959  0.0045  0.3494
V  0.3290  0.3366  0.1891
V  0.3353  0.3408  0.9829
V  0.3366  0.3290  0.6891
V  0.3408  0.3353  0.4829
V  0.6592  0.6647  0.5171
V  0.6634  0.6710  0.3109
V  0.6647  0.6592  0.0171
V  0.6710  0.6634  0.8109
O  0.0025  0.3092  0.7512
O  0.0058  0.3615  0.0795
O  0.0378  0.6100  0.5790
O  0.3092  0.0025  0.2512
O  0.3132  0.6868  0.7500
O  0.3457  0.6323  0.0782
O  0.3615  0.0058  0.5795
O  0.3677  0.6543  0.4218
O  0.3900  0.9622  0.9210
O  0.6100  0.0378  0.0790
O  0.6323  0.3457  0.5782
O  0.6385  0.9942  0.4205
O  0.6543  0.3677  0.9218
O  0.6868  0.3132  0.2500
O  0.6908  0.9975  0.7488
O  0.9622  0.3900  0.4210
O  0.9942  0.6385  0.9205
O  0.9975  0.6908  0.2488



# 2
Diffraction record for MgV3O8. The powder diffractogram is theoretical, not measured: it uses a structure optimized by DFT (GGA+U) and Cu Kα (weighted mean of Kα1 and Kα2).
Peak positions follow from Bragg's law for the DFT cell and can differ from measured ones.

Peak list (8 most intense, 10° ≤ 2θ ≤ 90°, in order of falling intensity)
Position (°2θ)  intensity
24.8  100.0
14.3  50.0
28.8  47.2
48.3  34.5
29.7  34.0
43.7  28.3
44.3  26.8
17.6  25.5

Cell and atoms:
abc: 6.4228 6.4228 6.4751
angles: 105.73 105.73 34.11
Sites, in units of the cell vectors:
Mg  0.0000  0.0000  0.0000
V  0.1062  0.1062  0.5849
V  0.3031  0.3031  0.0206
V  0.4105  0.4105  0.6041
O  0.0735  0.0735  0.3197
O  0.1574  0.1574  0.9521
O  0.2568  0.2568  0.6646
O  0.3476  0.3476  0.3163
O  0.4480  0.4480  0.9304
O  0.5733  0.5733  0.6181
O  0.8254  0.8254  0.0171
O  0.9506  0.9506  0.6447



# 3
Diffraction record for Mg2VO4. The powder diffractogram is theoretical, not measured: it uses a structure optimized by DFT (GGA+U) and Cu Kα (weighted mean of Kα1 and Kα2).
Peak positions follow from Bragg's law for the DFT cell and can differ from measured ones.

Peak list (8 most intense, 10° ≤ 2θ ≤ 90°, in order of falling intensity)
Position (°2θ)  intensity
35.5  100.0
61.9  55.2
29.8  52.8
34.8  45.3
62.7  26.5
30.2  25.5
57.1  22.4
53.4  17.9

Cell and atoms:
abc: 5.9992 5.9992 5.9992
angles: 120.82 120.82 88.58
Sites, in units of the cell vectors:
Mg  0.0000  0.0000  0.0000
Mg  0.0000  0.0000  0.5000
Mg  0.0000  0.5000  0.0000
Mg  0.5000  0.0000  0.5000
V  0.3750  0.6250  0.7500
V  0.6250  0.3750  0.2500
O  0.2449  0.2455  0.5006
O  0.2449  0.7443  0.9994
O  0.2455  0.2449  0.0006
O  0.2557  0.7551  0.5006
O  0.7443  0.2449  0.4994
O  0.7545  0.7551  0.9994
O  0.7551  0.2557  0.0006
O  0.7551  0.7545  0.4994



# 4
Diffraction record for Mg2V3O8. The powder diffractogram is theoretical, not measured: it uses a structure optimized by DFT (GGA+U) and Cu Kα (weighted mean of Kα1 and Kα2).
Peak positions follow from Bragg's law for the DFT cell and can differ from measured ones.

Peak list (8 most intense, 10° ≤ 2θ ≤ 90°, in order of falling intensity)
Position (°2θ)  intensity
18.1  100.0
37.0  64.6
46.6  62.5
31.2  50.5
28.5  44.2
65.0  36.6
57.7  31.5
49.6  28.4

Cell and atoms:
abc: 4.9230 5.9562 9.8507
angles: 89.94 83.38 90.00
Sites, in units of the cell vectors:
Mg  0.0000  0.0000  0.0000
Mg  0.1285  0.0005  0.5516
Mg  0.4886  0.4938  0.5002
Mg  0.6409  0.4940  0.0512
V  0.0643  0.5013  0.7756
V  0.0641  0.7486  0.2759
V  0.0652  0.2783  0.2755
V  0.5643  0.2333  0.7758
V  0.5642  0.7675  0.7757
V  0.5647  0.9945  0.2758
O  0.2417  0.0009  0.1682
O  0.2567  0.4813  0.1709
O  0.2869  0.2757  0.6587
O  0.2866  0.7259  0.6589
O  0.3397  0.2233  0.3918
O  0.3444  0.7566  0.3904
O  0.3584  0.5003  0.8828
O  0.3763  0.0005  0.8797
O  0.7523  0.0010  0.6718
O  0.7701  0.5006  0.6685
O  0.7853  0.7570  0.1606
O  0.7892  0.2235  0.1598
O  0.8417  0.2754  0.8928
O  0.8420  0.7256  0.8923
O  0.8726  0.4810  0.3803
O  0.8871  0.0002  0.3837



# 5
Diffraction record for Mg3V2O8. The powder diffractogram is theoretical, not measured: it uses a structure optimized by DFT (GGA+U) and Cu Kα (weighted mean of Kα1 and Kα2).
Peak positions follow from Bragg's law for the DFT cell and can differ from measured ones.

Peak list (8 most intense, 10° ≤ 2θ ≤ 90°, in order of falling intensity)
Position (°2θ)  intensity
34.8  100.0
26.8  69.5
62.4  66.2
29.3  54.2
43.0  46.3
35.5  42.5
30.8  28.3
19.5  28.3

Cell and atoms:
abc: 6.5656 6.5656 8.4174
angles: 90.00 90.00 124.40
Sites, in units of the cell vectors:
Mg  0.0000  0.0000  0.0000
Mg  0.1143  0.3857  0.2500
Mg  0.3857  0.1143  0.7500
Mg  0.5000  0.5000  0.5000
Mg  0.6143  0.8857  0.2500
Mg  0.8857  0.6143  0.7500
V  0.1200  0.8800  0.3804
V  0.3800  0.6200  0.8804
V  0.6200  0.3800  0.1196
V  0.8800  0.1200  0.6196
O  0.0026  0.9974  0.7551
O  0.1122  0.3462  0.5000
O  0.1538  0.3878  0.0000
O  0.2493  0.7507  0.2748
O  0.2507  0.7493  0.7748
O  0.3462  0.1122  0.5000
O  0.3878  0.1538  0.0000
O  0.4974  0.5026  0.2551
O  0.5026  0.4974  0.7449
O  0.6122  0.8462  0.0000
O  0.6538  0.8878  0.5000
O  0.7493  0.2507  0.2252
O  0.7507  0.2493  0.7252
O  0.8462  0.6122  0.0000
O  0.8878  0.6538  0.5000
O  0.9974  0.0026  0.2449



# 6
Diffraction record for MgV3O8. The powder diffractogram is theoretical, not measured: it uses a structure optimized by DFT (GGA+U) and Cu Kα (weighted mean of Kα1 and Kα2).
Peak positions follow from Bragg's law for the DFT cell and can differ from measured ones.

Peak list (8 most intense, 10° ≤ 2θ ≤ 90°, in order of falling intensity)
Position (°2θ)  intensity
26.8  100.0
26.2  78.8
27.4  69.1
53.7  34.4
59.3  21.1
35.2  20.6
28.3  20.0
20.4  16.1

Cell and atoms:
abc: 6.8427 6.8427 13.8829
angles: 98.74 98.74 78.95
Sites, in units of the cell vectors:
Mg  0.1512  0.2826  0.3557
Mg  0.2826  0.1512  0.8557
Mg  0.7174  0.8488  0.1443
Mg  0.8488  0.7174  0.6443
V  0.1732  0.6688  0.8507
V  0.2101  0.3503  0.6348
V  0.2401  0.7293  0.1100
V  0.2707  0.7599  0.3900
V  0.3312  0.8268  0.6493
V  0.3503  0.2101  0.1348
V  0.6497  0.7899  0.8652
V  0.6688  0.1732  0.3507
V  0.7293  0.2401  0.6100
V  0.7599  0.2707  0.8900
V  0.7899  0.6497  0.3652
V  0.8268  0.3312  0.1493
O  0.0148  0.8257  0.1441
O  0.0802  0.2458  0.1854
O  0.0933  0.5945  0.3585
O  0.1651  0.6589  0.6598
O  0.1743  0.9852  0.3559
O  0.1918  0.3077  0.5122
O  0.1985  0.6615  0.9770
O  0.2415  0.4236  0.8014
O  0.2458  0.0802  0.6854
O  0.3077  0.1918  0.0122
O  0.3358  0.5062  0.1537
O  0.3385  0.8015  0.5230
O  0.3411  0.8349  0.8402
O  0.4055  0.9067  0.1415
O  0.4236  0.2415  0.3014
O  0.4938  0.6642  0.3463
O  0.5062  0.3358  0.6537
O  0.5764  0.7585  0.6986
O  0.5945  0.0933  0.8585
O  0.6589  0.1651  0.1598
O  0.6615  0.1985  0.4770
O  0.6642  0.4938  0.8463
O  0.6923  0.8082  0.9878
O  0.7542  0.9198  0.3146
O  0.7585  0.5764  0.1986
O  0.8015  0.3385  0.0230
O  0.8082  0.6923  0.4878
O  0.8257  0.0148  0.6441
O  0.8349  0.3411  0.3402
O  0.9067  0.4055  0.6415
O  0.9198  0.7542  0.8146
O  0.9852  0.1743  0.8559



# 7
Diffraction record for Mg2V3O8. The powder diffractogram is theoretical, not measured: it uses a structure optimized by DFT (GGA+U) and Cu Kα (weighted mean of Kα1 and Kα2).
Peak positions follow from Bragg's law for the DFT cell and can differ from measured ones.

Peak list (8 most intense, 10° ≤ 2θ ≤ 90°, in order of falling intensity)
Position (°2θ)  intensity
18.7  100.0
36.3  57.5
60.7  48.5
35.7  47.4
45.5  46.8
40.0  43.6
62.8  43.4
25.6  41.0

Cell and atoms:
abc: 5.9186 5.9186 9.5049
angles: 90.00 90.00 120.00
Sites, in units of the cell vectors:
Mg  0.3333  0.6667  0.0000
Mg  0.3333  0.6667  0.3993
Mg  0.6667  0.3333  0.5000
Mg  0.6667  0.3333  0.8993
V  0.1626  0.3262  0.7220
V  0.1636  0.8374  0.7220
V  0.3262  0.1626  0.2220
V  0.6738  0.8364  0.7220
V  0.8364  0.6738  0.2220
V  0.8374  0.1636  0.2220
O  0.0000  0.0000  0.3308
O  0.0000  0.0000  0.8308
O  0.0372  0.5316  0.8426
O  0.1483  0.3266  0.1233
O  0.1782  0.8517  0.1233
O  0.3266  0.1483  0.6233
O  0.3333  0.6667  0.6094
O  0.4684  0.5057  0.8426
O  0.4943  0.9628  0.8426
O  0.5057  0.4684  0.3426
O  0.5316  0.0372  0.3426
O  0.6667  0.3333  0.1094
O  0.6734  0.8218  0.1233
O  0.8218  0.6734  0.6233
O  0.8517  0.1782  0.6233
O  0.9628  0.4943  0.3426



# 8
Diffraction record for Mg3V2O7. The powder diffractogram is theoretical, not measured: it uses a structure optimized by DFT (GGA+U) and Cu Kα (weighted mean of Kα1 and Kα2).
Peak positions follow from Bragg's law for the DFT cell and can differ from measured ones.

Peak list (8 most intense, 10° ≤ 2θ ≤ 90°, in order of falling intensity)
Position (°2θ)  intensity
35.0  100.0
62.3  42.7
48.9  38.6
24.4  38.4
33.5  37.8
20.1  34.0
34.6  29.9
51.8  19.5

Cell and atoms:
abc: 9.2020 9.2020 5.3533
angles: 90.00 90.00 32.68
Sites, in units of the cell vectors:
Mg  0.0467  0.5676  0.3815
Mg  0.2471  0.7529  0.5000
Mg  0.4324  0.9533  0.3815
Mg  0.5676  0.0467  0.8815
Mg  0.7529  0.2471  0.0000
Mg  0.9533  0.4324  0.8815
V  0.1434  0.6467  0.9465
V  0.3533  0.8566  0.9465
V  0.6467  0.1434  0.4465
V  0.8566  0.3533  0.4465
O  0.0054  0.1517  0.7687
O  0.0729  0.3375  0.5037
O  0.1517  0.0054  0.2687
O  0.3048  0.4325  0.6426
O  0.3375  0.0729  0.0037
O  0.3679  0.6321  0.8910
O  0.4325  0.3048  0.1426
O  0.5675  0.6952  0.6426
O  0.6321  0.3679  0.3910
O  0.6625  0.9271  0.5037
O  0.6952  0.5675  0.1426
O  0.8483  0.9946  0.7687
O  0.9271  0.6625  0.0037
O  0.9946  0.8483  0.2687



# 9
Diffraction record for Mg2V2O5. The powder diffractogram is theoretical, not measured: it uses a structure optimized by DFT (GGA+U) and Cu Kα (weighted mean of Kα1 and Kα2).
Peak positions follow from Bragg's law for the DFT cell and can differ from measured ones.

Peak list (8 most intense, 10° ≤ 2θ ≤ 90°, in order of falling intensity)
Position (°2θ)  intensity
32.2  100.0
32.1  86.0
54.2  56.8
31.2  53.0
35.1  45.4
16.9  43.6
34.3  35.3
51.9  34.3

Cell and atoms:
abc: 3.2845 5.9238 11.1664
angles: 90.00 90.00 90.00
Sites, in units of the cell vectors:
Mg  0.0000  0.0021  0.0000
Mg  0.0000  0.3270  0.2840
Mg  0.0000  0.6730  0.7840
Mg  0.0000  0.9979  0.5000
V  0.5000  0.1810  0.7679
V  0.5000  0.4694  0.5339
V  0.5000  0.5306  0.0339
V  0.5000  0.8190  0.2679
O  0.0000  0.0050  0.8069
O  0.0000  0.3571  0.4576
O  0.0000  0.6429  0.9576
O  0.0000  0.9950  0.3069
O  0.5000  0.1265  0.6012
O  0.5000  0.2362  0.9630
O  0.5000  0.4758  0.2194
O  0.5000  0.5242  0.7194
O  0.5000  0.7638  0.4630
O  0.5000  0.8735  0.1012